Diffraction record for Mg5Ga2Rh4. The powder X-ray diffraction pattern is theoretical, not measured: it uses a cell relaxed with GGA-PBE and CuKα.

Crystal structure
Unit cell a=3.027 b=8.028 c=8.533 alpha=62.67 beta=80.65 gamma=82.59
Atoms (fractional coordinates):
Mg: 0.000 0.000 0.000
Mg: 0.066 0.045 0.316
Mg: 0.278 0.648 0.337
Mg: 0.722 0.352 0.663
Mg: 0.934 0.955 0.684
Ga: 0.059 0.561 0.816
Ga: 0.941 0.439 0.184
Rh: 0.397 0.253 0.445
Rh: 0.447 0.708 0.977
Rh: 0.553 0.292 0.023
Rh: 0.603 0.747 0.555

Main lines, in order of rising 2θ (15 to 90 degrees two-theta):
Position (°2θ)  d_spacing  I (rel.)
23.64  3.764  20
25.02  3.559  17
25.61  3.478  17
36.19  2.482  18
38.16  2.358  15
38.84  2.319  34
40.72  2.216  100
42.03  2.150  25
43.17  2.096  13
43.37  2.087  23

---

Diffraction record for MgGa6Rh5. The powder X-ray diffraction pattern is theoretical, not measured: it uses a cell relaxed with GGA-PBE and CuKα.

Crystal structure
Unit cell a=7.544 b=7.544 c=7.544 alpha=146.53 beta=132.04 gamma=59.74
Atoms (fractional coordinates):
Mg: 0.000 0.000 0.000
Ga: 0.086 0.826 0.260
Ga: 0.267 0.500 0.767
Ga: 0.433 0.174 0.260
Ga: 0.567 0.826 0.740
Ga: 0.733 0.500 0.233
Ga: 0.914 0.174 0.740
Rh: 0.157 0.657 0.500
Rh: 0.333 0.333 0.000
Rh: 0.500 0.000 0.500
Rh: 0.667 0.667 0.000
Rh: 0.843 0.343 0.500

Main lines, in order of rising 2θ (15 to 90 degrees two-theta):
Position (°2θ)  d_spacing  I (rel.)
15.96  5.553  4
21.55  4.123  2
25.09  3.549  2
41.41  2.181  20
41.57  2.172  100
60.12  1.539  13
60.38  1.533  6
75.63  1.257  12
75.86  1.254  19
75.97  1.253  6

---

Diffraction record for Mg3Ga4Rh. The powder X-ray diffraction pattern is theoretical, not measured: it uses a cell relaxed with GGA-PBE and CuKα.

Crystal structure
Unit cell a=12.069 b=4.453 c=5.657 alpha=90.00 beta=102.32 gamma=90.00
Atoms (fractional coordinates):
Mg: 0.000 0.000 0.000
Mg: 0.206 0.500 0.805
Mg: 0.294 0.000 0.195
Mg: 0.500 0.500 0.000
Mg: 0.706 0.000 0.805
Mg: 0.794 0.500 0.195
Ga: 0.114 0.000 0.522
Ga: 0.152 0.500 0.253
Ga: 0.348 0.000 0.747
Ga: 0.386 0.500 0.478
Ga: 0.614 0.500 0.522
Ga: 0.652 0.000 0.253
Ga: 0.848 0.500 0.747
Ga: 0.886 0.000 0.478
Rh: 0.000 0.500 0.500
Rh: 0.500 0.000 0.500

Main lines, in order of rising 2θ (15 to 90 degrees two-theta):
Position (°2θ)  d_spacing  I (rel.)
16.04  5.526  100
24.31  3.661  36
32.73  2.736  24
36.79  2.443  56
37.68  2.387  18
40.51  2.227  51
41.05  2.199  42
43.42  2.084  87
48.65  1.872  30
75.70  1.256  17